Diffraction record for TbCuB5O10. The X-ray powder pattern is computed, not measured: it uses a GGA-PBE-relaxed structure and copper Kα.

Principal peaks in the range 5 to 70 degrees two-theta, in order of rising 2θ:
- 2θ 17.3, intensity 100.0
- 2θ 20.8, intensity 39.2
- 2θ 25.1, intensity 19.4
- 2θ 27.9, intensity 44.4
- 2θ 33.0, intensity 37.5
- 2θ 34.5, intensity 20.5
- 2θ 35.1, intensity 58.3
- 2θ 43.8, intensity 25.1
- 2θ 44.9, intensity 35.1
- 2θ 45.4, intensity 30.4

Lattice parameters (Å, degrees): 6.3952 8.5451 12.7814 90.00 90.00 90.00
Space group Ibam (No. 72)
One atom of each set of equivalent atoms:
Tb: 0.0000 0.0000 0.2500 [4 per cell]
Cu: 0.0000 0.0000 0.0000 [4 per cell]
B: 0.0000 0.5000 0.2500 [4 per cell]
B: 0.1144 0.3106 0.0982 [16 per cell]
O: 0.0584 0.1589 0.1105 [16 per cell]
O: 0.1470 0.4064 0.1855 [16 per cell]
O: 0.1485 0.3773 0.0000 [8 per cell]

***

Diffraction record for K2BeC4O8. The X-ray powder pattern is computed, not measured: it uses a GGA-PBE-relaxed structure and copper Kα.

Principal peaks in the range 5 to 70 degrees two-theta, in order of rising 2θ:
- 2θ 24.4, intensity 23.7
- 2θ 26.2, intensity 37.4
- 2θ 26.5, intensity 26.1
- 2θ 27.0, intensity 100.0
- 2θ 32.2, intensity 76.1
- 2θ 32.8, intensity 32.4
- 2θ 35.6, intensity 30.1
- 2θ 42.6, intensity 23.6
- 2θ 43.8, intensity 29.5
- 2θ 45.5, intensity 24.6

Lattice parameters (Å, degrees): 13.6051 9.1542 6.7372 90.00 90.00 90.00
Space group Pnma (No. 62)
One atom of each set of equivalent atoms:
K: 0.1045 0.0024 0.1895 [8 per cell]
Be: 0.2456 0.2500 0.9233 [4 per cell]
C: 0.0932 0.2500 0.7414 [4 per cell]
C: 0.1427 0.6647 0.6760 [8 per cell]
C: 0.1805 0.2500 0.5909 [4 per cell]
O: 0.0063 0.2500 0.6883 [4 per cell]
O: 0.0913 0.5909 0.7890 [8 per cell]
O: 0.1254 0.2500 0.9245 [4 per cell]
O: 0.1681 0.2500 0.4092 [4 per cell]
O: 0.2025 0.6135 0.5405 [8 per cell]
O: 0.2351 0.7500 0.1835 [4 per cell]